Pm3GeAs2: computed X-ray diffraction stick pattern (CuKα), based on a crystal structure in Alexandria, relaxed with PBE.

Peak list (6 most intense, 10° ≤ 2θ ≤ 80°, by intensity)
2θ = 29.79°, intensity 100; 2θ = 42.45°, intensity 25; 2θ = 42.65°, intensity 25; 2θ = 42.80°, intensity 25; 2θ = 52.84°, intensity 13; 2θ = 61.88°, intensity 12

Cell: 7.359 7.359 7.309 Å, 99.68 99.68 119.77°
Fractional positions:
Pm: 0.000 0.500 0.500
Pm: 0.159 0.330 0.002
Pm: 0.330 0.159 0.502
Pm: 0.500 0.000 0.000
Pm: 0.670 0.841 0.498
Pm: 0.841 0.670 0.998
Ge: 0.417 0.583 0.750
Ge: 0.583 0.417 0.250
As: 0.083 0.917 0.750
As: 0.250 0.750 0.250
As: 0.750 0.250 0.750
As: 0.917 0.083 0.250

***

Ir6Os2Rh: computed X-ray diffraction stick pattern (CuKα), based on a crystal structure in Alexandria, relaxed with PBE.

Peak list (6 most intense, 10° ≤ 2θ ≤ 80°, by intensity)
2θ = 42.70°, intensity 100; 2θ = 42.88°, intensity 57; 2θ = 42.09°, intensity 45; 2θ = 40.63°, intensity 35; 2θ = 59.94°, intensity 20; 2θ = 40.21°, intensity 19

Cell: 4.293 5.317 12.841 Å, 90.00 109.49 90.00°
Fractional positions:
Ir: 0.092 0.143 0.092
Ir: 0.092 0.357 0.592
Ir: 0.116 0.630 0.116
Ir: 0.116 0.870 0.616
Ir: 0.337 0.106 0.837
Ir: 0.337 0.394 0.337
Ir: 0.663 0.606 0.663
Ir: 0.663 0.894 0.163
Ir: 0.884 0.130 0.384
Ir: 0.884 0.370 0.884
Ir: 0.908 0.643 0.408
Ir: 0.908 0.857 0.908
Os: 0.294 0.608 0.795
Os: 0.294 0.892 0.295
Os: 0.706 0.108 0.705
Os: 0.706 0.392 0.205
Rh: 0.500 0.000 0.500
Rh: 0.500 0.500 0.000

***

Sm3DyPb5: computed X-ray diffraction stick pattern (CuKα), based on a crystal structure in Alexandria, relaxed with PBE.

Peak list (6 most intense, 10° ≤ 2θ ≤ 80°, by intensity)
2θ = 32.90°, intensity 100; 2θ = 32.11°, intensity 89; 2θ = 31.39°, intensity 39; 2θ = 46.63°, intensity 30; 2θ = 57.75°, intensity 29; 2θ = 65.82°, intensity 23

Cell: 9.656 9.656 6.594 Å, 90.00 90.00 120.00°
Fractional positions:
Sm: 0.000 0.381 0.250
Sm: 0.000 0.619 0.750
Sm: 0.381 0.000 0.250
Sm: 0.381 0.381 0.750
Sm: 0.619 0.000 0.750
Sm: 0.619 0.619 0.250
Dy: 0.000 0.000 0.000
Dy: 0.000 0.000 0.500
Pb: 0.000 0.285 0.750
Pb: 0.000 0.715 0.250
Pb: 0.285 0.000 0.750
Pb: 0.285 0.285 0.250
Pb: 0.333 0.667 0.000
Pb: 0.333 0.667 0.500
Pb: 0.667 0.333 0.000
Pb: 0.667 0.333 0.500
Pb: 0.715 0.000 0.250
Pb: 0.715 0.715 0.750

***

RbNa4Sn4: computed X-ray diffraction stick pattern (CuKα), based on a crystal structure in Alexandria, relaxed with PBE.

Peak list (6 most intense, 10° ≤ 2θ ≤ 80°, by intensity)
2θ = 23.62°, intensity 100; 2θ = 18.55°, intensity 79; 2θ = 26.63°, intensity 75; 2θ = 38.60°, intensity 62; 2θ = 37.93°, intensity 58; 2θ = 16.75°, intensity 49

Cell: 10.585 10.585 6.216 Å, 90.00 90.00 90.00°
Fractional positions:
Rb: 0.250 0.250 0.250
Rb: 0.750 0.750 0.750
Na: 0.123 0.865 0.631
Na: 0.135 0.623 0.131
Na: 0.365 0.877 0.131
Na: 0.377 0.635 0.631
Na: 0.623 0.365 0.369
Na: 0.635 0.123 0.869
Na: 0.865 0.377 0.869
Na: 0.877 0.135 0.369
Sn: 0.049 0.916 0.139
Sn: 0.084 0.549 0.639
Sn: 0.416 0.951 0.639
Sn: 0.451 0.584 0.139
Sn: 0.549 0.416 0.861
Sn: 0.584 0.049 0.361
Sn: 0.916 0.451 0.361
Sn: 0.951 0.084 0.861

***

Ho5Co2Bi: computed X-ray diffraction stick pattern (CuKα), based on a crystal structure in Alexandria, relaxed with PBE.

Peak list (6 most intense, 10° ≤ 2θ ≤ 80°, by intensity)
2θ = 32.89°, intensity 100; 2θ = 37.53°, intensity 99; 2θ = 35.29°, intensity 69; 2θ = 30.94°, intensity 69; 2θ = 27.10°, intensity 46; 2θ = 58.23°, intensity 37

Cell: 8.708 8.708 8.708 Å, 128.41 128.41 75.96°
Fractional positions:
Ho: 0.000 0.000 0.000
Ho: 0.029 0.529 0.815
Ho: 0.214 0.029 0.500
Ho: 0.286 0.786 0.815
Ho: 0.471 0.286 0.500
Ho: 0.500 0.500 0.000
Ho: 0.529 0.714 0.500
Ho: 0.714 0.214 0.185
Ho: 0.786 0.971 0.500
Ho: 0.971 0.471 0.185
Co: 0.137 0.363 0.500
Co: 0.363 0.863 0.227
Co: 0.637 0.137 0.773
Co: 0.863 0.637 0.500
Bi: 0.250 0.250 0.000
Bi: 0.750 0.750 0.000